Diffraction record for NaMnBr2Cl. The powder X-ray diffraction pattern is computed, not measured: it uses a GGA-PBE-relaxed structure and Cu Kα X-rays.
Kinematic intensities with the Lorentz-polarization factor, no thermal factor.

Top 10 peaks for 15 to 90 degrees two-theta, by angle:
| 2θ (°) | I_rel | index |
| --- | --- | --- |
| 18.38 | 55.8 | 0 0 2 |
| 30.50 | 100.0 | 1 3 0 |
| 30.93 | 70.1 | 0 2 3 |
| 31.91 | 32.5 | 1 3 1 |
| 35.85 | 54.2 | 1 3 2 |
| 36.73 | 36.7 | 1 1 3 |
| 45.48 | 34.6 | 1 5 2 |
| 46.16 | 26.8 | 2 0 0 |
| 50.41 | 19.8 | 1 5 3 |
| 56.60 | 24.8 | 2 2 3 |

Structural model:
Lattice parameters (Å, degrees): 3.9334 13.1834 9.6515 90.00 90.00 90.00
Space group Cmcm (No. 63)
Unique sites:
Na: 0.0000 0.2236 0.2500 (multiplicity 4)
Mn: 0.0000 0.5000 0.0000 (multiplicity 4)
Br: 0.0000 0.1338 0.5569 (multiplicity 8)
Cl: 0.0000 0.4294 0.7500 (multiplicity 4)

---

Diffraction record for NpZn2HgO8. The powder X-ray diffraction pattern is computed, not measured: it uses a GGA-PBE-relaxed structure and Cu Kα X-rays.
Kinematic intensities with the Lorentz-polarization factor, no thermal factor.

Top 10 peaks for 15 to 90 degrees two-theta, by angle:
| 2θ (°) | I_rel | index |
| --- | --- | --- |
| 18.50 | 91.1 | 1 0 0 |
| 25.48 | 92.9 | 1 1 0 |
| 27.07 | 82.4 | 1 -1 0 |
| 31.19 | 100.0 | 1 0 2 |
| 33.74 | 69.5 | 1 0 -2 |
| 37.52 | 44.1 | 0 2 0 |
| 46.79 | 35.7 | 2 1 2 |
| 50.48 | 33.9 | 2 -1 2 |
| 52.20 | 54.7 | 2 1 -2 |
| 62.26 | 25.3 | 0 3 2 |

Structural model:
Lattice parameters (Å, degrees): 4.8188 4.8235 6.7838 85.07 85.04 86.20
Space group P-1 (No. 2)
Unique sites:
Np: 0.0000 0.0000 0.0000 (multiplicity 1)
Zn: 0.4793 0.4793 0.2568 (multiplicity 2)
Hg: 0.0000 0.0000 0.5000 (multiplicity 1)
O: 0.1889 0.1870 0.2463 (multiplicity 2)
O: 0.2160 0.2134 0.8057 (multiplicity 2)
O: 0.2990 0.6989 0.0001 (multiplicity 2)
O: 0.3119 0.6862 0.5002 (multiplicity 2)